This entry pairs a crystal structure of LiV3O4F8 with its computed PXRD pattern. Radiation: a wavelength of 1.5418 Å. Structure: a DFT-relaxed cell (GGA+U, Alexandria).

The 6 most intense peaks (5° ≤ 2θ ≤ 70°), by intensity:
| (hkl) | d (Å) | 2theta | Rel. int. |
| --- | --- | --- | --- |
| 0 0 1 | 6.619 | 13.38 | 100 |
| 1 0 -1 | 4.907 | 18.08 | 76 |
| 1 0 -2 | 3.355 | 26.57 | 48 |
| 0 2 -1 | 2.930 | 30.51 | 45 |
| 1 -1 1 | 3.513 | 25.35 | 42 |
| 1 1 0 | 3.343 | 26.67 | 42 |

Structure:
```
data_LiV3O4F8
_space_group_name_H-M_alt 'P 1'
_space_group_IT_number 1
_cell_length_a 5.355
_cell_length_b 5.870
_cell_length_c 7.649
_cell_angle_alpha 112.47
_cell_angle_beta 107.68
_cell_angle_gamma 93.00
loop_
_space_group_symop_operation_xyz
'x,y,z'
loop_
_atom_site_label
_atom_site_type_symbol
_atom_site_fract_x
_atom_site_fract_y
_atom_site_fract_z
_atom_site_occupancy
Li1 Li 0.000 0.000 0.000 1
V1 V 0.317 0.630 0.662 1
V2 V 0.636 0.408 0.292 1
V3 V 0.973 0.068 0.487 1
O1 O 0.212 0.851 0.584 1
O2 O 0.464 0.479 0.474 1
O3 O 0.752 0.704 0.342 1
O4 O 0.966 0.392 0.494 1
F1 F 0.091 0.968 0.276 1
F2 F 0.180 0.726 0.870 1
F3 F 0.308 0.284 0.687 1
F4 F 0.316 0.286 0.085 1
F5 F 0.622 0.057 0.307 1
F6 F 0.646 0.761 0.856 1
F7 F 0.795 0.260 0.105 1
F8 F 0.843 0.100 0.682 1
```